1.
Starting from DFT lattice parameters and positions (GGA-PBE), the XRD peak list of SrEuAlO4 was calculated for Cu Kα (weighted mean of Kα1 and Kα2).
No peak broadening, texture or thermal motion is included.

Structure:
a b c (Å): 3.764 3.764 12.391
angles (deg): 90.00 90.00 90.00
Element x y z (fractional)
1 Sr 0.000 0.000 0.000
2 Sr 0.500 0.500 0.500
3 Eu 0.000 0.000 0.715
4 Eu 0.500 0.500 0.215
5 Al 0.000 0.000 0.357
6 Al 0.500 0.500 0.857
7 O 0.000 0.000 0.196
8 O 0.000 0.000 0.519
9 O 0.000 0.500 0.350
10 O 0.000 0.500 0.850
11 O 0.500 0.000 0.350
12 O 0.500 0.000 0.850
13 O 0.500 0.500 0.019
14 O 0.500 0.500 0.696

Top 8 peaks for 2θ = 10–80°, in order of rising 2θ:
d = 3.601 Å, rel. 57
d = 3.098 Å, rel. 24
d = 2.782 Å, rel. 100
d = 2.661 Å, rel. 71
d = 2.019 Å, rel. 52
d = 1.882 Å, rel. 38
d = 1.559 Å, rel. 37
d = 1.391 Å, rel. 20


2.
Starting from DFT lattice parameters and positions (GGA-PBE), the XRD peak list of Eu2AlP3Pt7 was calculated for Cu Kα (weighted mean of Kα1 and Kα2).
No peak broadening, texture or thermal motion is included.

Structure:
a b c (Å): 13.890 13.890 13.890
angles (deg): 163.10 163.10 23.99
Element x y z (fractional)
1 Eu 0.165 0.165 0.000
2 Eu 0.835 0.835 0.000
3 Al 0.000 0.000 0.000
4 P 0.250 0.750 0.500
5 P 0.380 0.380 0.000
6 P 0.620 0.620 0.000
7 Pt 0.070 0.570 0.500
8 Pt 0.293 0.293 0.000
9 Pt 0.430 0.930 0.500
10 Pt 0.500 0.500 0.000
11 Pt 0.572 0.072 0.500
12 Pt 0.707 0.707 0.000
13 Pt 0.928 0.428 0.500

Top 8 peaks for 2θ = 10–80°, in order of rising 2θ:
d = 3.397 Å, rel. 21
d = 2.824 Å, rel. 48
d = 2.434 Å, rel. 100
d = 2.428 Å, rel. 39
d = 2.041 Å, rel. 60
d = 1.562 Å, rel. 20
d = 1.443 Å, rel. 20
d = 1.241 Å, rel. 29


3.
Starting from DFT lattice parameters and positions (GGA-PBE), the XRD peak list of EuAl2Se4 was calculated for Cu Kα (weighted mean of Kα1 and Kα2).
No peak broadening, texture or thermal motion is included.

Structure:
a b c (Å): 6.307 6.307 11.034
angles (deg): 90.00 90.00 120.43
Element x y z (fractional)
1 Eu 0.000 0.000 0.250
2 Eu 0.000 0.000 0.750
3 Al 0.259 0.739 0.000
4 Al 0.261 0.741 0.500
5 Al 0.739 0.259 0.500
6 Al 0.741 0.261 0.000
7 Se 0.000 0.500 0.168
8 Se 0.000 0.500 0.832
9 Se 0.152 0.316 0.500
10 Se 0.316 0.152 0.000
11 Se 0.500 0.000 0.332
12 Se 0.500 0.000 0.668
13 Se 0.684 0.848 0.000
14 Se 0.848 0.684 0.500

Top 8 peaks for 2θ = 10–80°, in order of rising 2θ:
d = 5.438 Å, rel. 72
d = 3.874 Å, rel. 52
d = 3.047 Å, rel. 76
d = 3.032 Å, rel. 76
d = 2.737 Å, rel. 42
d = 2.722 Å, rel. 31
d = 2.462 Å, rel. 45
d = 2.439 Å, rel. 100


4.
Starting from DFT lattice parameters and positions (GGA-PBE), the XRD peak list of EuAl3Si was calculated for Cu Kα (weighted mean of Kα1 and Kα2).
No peak broadening, texture or thermal motion is included.

Structure:
a b c (Å): 4.345 4.345 10.861
angles (deg): 90.00 90.00 90.00
Element x y z (fractional)
1 Eu 0.000 0.000 0.000
2 Eu 0.500 0.500 0.500
3 Al 0.000 0.000 0.617
4 Al 0.000 0.500 0.253
5 Al 0.000 0.500 0.753
6 Al 0.500 0.000 0.253
7 Al 0.500 0.000 0.753
8 Al 0.500 0.500 0.117
9 Si 0.000 0.000 0.385
10 Si 0.500 0.500 0.885

Top 8 peaks for 2θ = 10–80°, in order of rising 2θ:
d = 5.430 Å, rel. 32
d = 4.034 Å, rel. 74
d = 3.073 Å, rel. 38
d = 2.781 Å, rel. 84
d = 2.674 Å, rel. 100
d = 2.173 Å, rel. 41
d = 1.943 Å, rel. 35
d = 1.712 Å, rel. 39


5.
Starting from DFT lattice parameters and positions (GGA-PBE), the XRD peak list of EuAl20V2 was calculated for Cu Kα (weighted mean of Kα1 and Kα2).
No peak broadening, texture or thermal motion is included.

Structure:
a b c (Å): 10.293 10.293 10.293
angles (deg): 60.00 60.00 60.00
Element x y z (fractional)
1 Eu 0.125 0.125 0.125
2 Eu 0.875 0.875 0.875
3 Al 0.000 0.000 0.000
4 Al 0.000 0.000 0.500
5 Al 0.000 0.500 0.000
6 Al 0.057 0.326 0.326
7 Al 0.057 0.326 0.792
8 Al 0.057 0.792 0.326
9 Al 0.208 0.674 0.674
10 Al 0.208 0.674 0.943
11 Al 0.208 0.943 0.674
12 Al 0.236 0.236 0.514
13 Al 0.236 0.514 0.236
14 Al 0.236 0.514 0.514
15 Al 0.326 0.057 0.326
16 Al 0.326 0.057 0.792
17 Al 0.326 0.326 0.057
18 Al 0.326 0.326 0.792
19 Al 0.326 0.792 0.057
20 Al 0.326 0.792 0.326
21 Al 0.486 0.486 0.764
22 Al 0.486 0.764 0.486
23 Al 0.486 0.764 0.764
24 Al 0.500 0.000 0.000
25 Al 0.514 0.236 0.236
26 Al 0.514 0.236 0.514
27 Al 0.514 0.514 0.236
28 Al 0.674 0.208 0.674
29 Al 0.674 0.208 0.943
30 Al 0.674 0.674 0.208
31 Al 0.674 0.674 0.943
32 Al 0.674 0.943 0.208
33 Al 0.674 0.943 0.674
34 Al 0.764 0.486 0.486
35 Al 0.764 0.486 0.764
36 Al 0.764 0.764 0.486
37 Al 0.792 0.057 0.326
38 Al 0.792 0.326 0.057
39 Al 0.792 0.326 0.326
40 Al 0.943 0.208 0.674
41 Al 0.943 0.674 0.208
42 Al 0.943 0.674 0.674
43 V 0.000 0.500 0.500
44 V 0.500 0.000 0.500
45 V 0.500 0.500 0.000
46 V 0.500 0.500 0.500

Top 8 peaks for 2θ = 10–80°, in order of rising 2θ:
d = 5.147 Å, rel. 54
d = 4.389 Å, rel. 90
d = 2.573 Å, rel. 47
d = 2.461 Å, rel. 100
d = 2.302 Å, rel. 70
d = 2.220 Å, rel. 92
d = 2.195 Å, rel. 64
d = 1.716 Å, rel. 44


6.
Starting from DFT lattice parameters and positions (GGA-PBE), the XRD peak list of EuYAl4 was calculated for Cu Kα (weighted mean of Kα1 and Kα2).
No peak broadening, texture or thermal motion is included.

Structure:
a b c (Å): 5.633 5.633 5.633
angles (deg): 60.00 60.00 60.00
Element x y z (fractional)
1 Eu 0.000 0.000 0.000
2 Y 0.750 0.750 0.750
3 Al 0.375 0.375 0.375
4 Al 0.375 0.375 0.875
5 Al 0.375 0.875 0.375
6 Al 0.875 0.375 0.375

Top 8 peaks for 2θ = 10–80°, in order of rising 2θ:
d = 4.600 Å, rel. 50
d = 2.817 Å, rel. 87
d = 2.402 Å, rel. 100
d = 1.828 Å, rel. 13
d = 1.626 Å, rel. 33
d = 1.533 Å, rel. 32
d = 1.408 Å, rel. 21
d = 1.260 Å, rel. 14


7.
Starting from DFT lattice parameters and positions (GGA-PBE), the XRD peak list of EuAl2Zn2 was calculated for Cu Kα (weighted mean of Kα1 and Kα2).
No peak broadening, texture or thermal motion is included.

Structure:
a b c (Å): 4.240 4.240 11.013
angles (deg): 90.00 90.00 90.00
Element x y z (fractional)
1 Eu 0.000 0.000 0.000
2 Eu 0.500 0.500 0.500
3 Al 0.000 0.500 0.250
4 Al 0.000 0.500 0.750
5 Al 0.500 0.000 0.250
6 Al 0.500 0.000 0.750
7 Zn 0.000 0.000 0.388
8 Zn 0.000 0.000 0.612
9 Zn 0.500 0.500 0.112
10 Zn 0.500 0.500 0.888

Top 8 peaks for 2θ = 10–80°, in order of rising 2θ:
d = 5.506 Å, rel. 35
d = 2.998 Å, rel. 69
d = 2.775 Å, rel. 100
d = 2.633 Å, rel. 89
d = 2.120 Å, rel. 55
d = 1.955 Å, rel. 57
d = 1.685 Å, rel. 44
d = 1.437 Å, rel. 41


8.
Starting from DFT lattice parameters and positions (GGA-PBE), the XRD peak list of AlF3 was calculated for Cu Kα (weighted mean of Kα1 and Kα2).
No peak broadening, texture or thermal motion is included.

Structure:
a b c (Å): 5.119 5.119 6.350
angles (deg): 90.00 90.00 120.00
Element x y z (fractional)
1 Al 0.000 0.000 0.000
2 Al 0.333 0.667 0.667
3 Al 0.667 0.333 0.333
4 F 0.000 0.476 0.500
5 F 0.159 0.825 0.833
6 F 0.175 0.333 0.833
7 F 0.333 0.175 0.167
8 F 0.476 0.000 0.500
9 F 0.524 0.524 0.500
10 F 0.667 0.841 0.833
11 F 0.825 0.159 0.167
12 F 0.841 0.667 0.167

Top 8 peaks for 2θ = 10–80°, in order of rising 2θ:
d = 3.635 Å, rel. 100
d = 2.093 Å, rel. 8
d = 1.818 Å, rel. 38
d = 1.631 Å, rel. 16
d = 1.620 Å, rel. 15
d = 1.291 Å, rel. 10
d = 1.280 Å, rel. 9
d = 1.207 Å, rel. 5